Mn3V3Te2O16: simulated X-ray powder pattern (λ = 1.5418 Å (Cu Kα)), based on a crystal structure in Alexandria, relaxed with PBE+U.

Main lines, sorted by position (10 to 90 degrees two-theta):
- (0 0 2), 2θ 16.69, I 100
- (0 1 1), 2θ 18.71, I 89
- (1 0 1), 2θ 18.88, I 72
- (1 0 -1), 2θ 19.03, I 47
- (1 1 1), 2θ 19.27, I 60
- (1 1 -1), 2θ 19.47, I 56
- (0 1 -2), 2θ 23.75, I 61
- (1 1 2), 2θ 24.07, I 45
- (0 1 3), 2θ 30.32, I 93
- (1 0 -3), 2θ 30.62, I 44
- (1 -1 2), 2θ 33.69, I 56
- (2 0 -5), 2θ 56.07, I 41

Structure:
```
data_Mn3V3Te2O16
_symmetry_space_group_name_H-M 'P 1'
_symmetry_Int_Tables_number 1
_symmetry_space_group_name_Hall 'P 1'
_cell_length_a 5.890
_cell_length_b 5.984
_cell_length_c 10.629
_cell_angle_alpha 89.47
_cell_angle_beta 89.26
_cell_angle_gamma 62.31
loop_
_atom_site_label
_atom_site_type_symbol
_atom_site_fract_x
_atom_site_fract_y
_atom_site_fract_z
_atom_site_occupancy
Mn1 Mn 0.000 0.000 0.000 1
Mn2 Mn 0.006 0.502 0.996 1
Mn3 Mn 0.809 0.375 0.510 1
V1 V 0.297 0.836 0.476 1
V2 V 0.362 0.305 0.517 1
V3 V 0.518 0.990 0.971 1
Te1 Te 0.496 0.516 0.189 1
Te2 Te 0.889 0.807 0.719 1
O1 O 0.012 0.507 0.608 1
O2 O 0.040 0.976 0.621 1
O3 O 0.125 0.668 0.861 1
O4 O 0.148 0.193 0.427 1
O5 O 0.163 0.700 0.388 1
O6 O 0.170 0.174 0.919 1
O7 O 0.329 0.838 0.097 1
O8 O 0.352 0.337 0.101 1
O9 O 0.467 0.058 0.614 1
O10 O 0.469 0.533 0.592 1
O11 O 0.593 0.728 0.406 1
O12 O 0.613 0.731 0.882 1
O13 O 0.629 0.226 0.415 1
O14 O 0.683 0.132 0.890 1
O15 O 0.821 0.359 0.100 1
O16 O 0.826 0.830 0.078 1
```